1.
For SrEuAl, a structure optimized by DFT (GGA-PBE) gives the simulated powder diffraction line list in this record (a wavelength of 1.5418 Å).
Kinematic intensities with the Lorentz-polarization factor, no thermal factor.

Largest 10 diffraction maxima, sorted by position, 15 to 90 degrees two-theta:
| two_theta | I (rel.) |
| --- | --- |
| 23.56 | 68.2 |
| 25.92 | 29.8 |
| 29.97 | 100.0 |
| 32.24 | 57.4 |
| 40.03 | 20.4 |
| 41.82 | 33.7 |
| 46.24 | 20.8 |
| 52.06 | 16.9 |
| 53.77 | 16.0 |
| 56.08 | 33.6 |

Structural model:
```
3
Lattice="-1.9633 1.9633 6.8750 1.9633 -1.9633 6.8750 1.9633 1.9633 -6.8750" Properties=species:S:1:pos:R:3 pbc="T T T"
Sr 0.0000 0.0000 0.0000
Eu 0.0000 0.0000 3.7023
Al 0.0000 0.0000 8.8465
```


2.
For SrP3Rh, a structure optimized by DFT (GGA-PBE) gives the simulated powder diffraction line list in this record (a wavelength of 1.5418 Å).
Kinematic intensities with the Lorentz-polarization factor, no thermal factor.

Largest 10 diffraction maxima, sorted by position, 15 to 90 degrees two-theta:
| two_theta | I (rel.) |
| --- | --- |
| 18.71 | 12.0 |
| 26.58 | 100.0 |
| 32.71 | 8.3 |
| 37.95 | 59.4 |
| 46.93 | 42.7 |
| 54.75 | 39.5 |
| 61.87 | 18.5 |
| 68.54 | 13.3 |
| 74.92 | 20.9 |
| 87.21 | 10.8 |

Structural model:
```
5
Lattice="4.7424 0.0000 0.0000 0.0000 4.7424 0.0000 0.0000 0.0000 4.7424" Properties=species:S:1:pos:R:3 pbc="T T T"
Sr 0.0000 0.0000 0.0000
P 0.0000 2.3712 2.3712
P 2.3712 0.0000 2.3712
P 2.3712 2.3712 0.0000
Rh 2.3712 2.3712 2.3712
```


3.
For EuSc2Bi, a structure optimized by DFT (GGA-PBE) gives the simulated powder diffraction line list in this record (a wavelength of 1.5418 Å).
Kinematic intensities with the Lorentz-polarization factor, no thermal factor.

Largest 10 diffraction maxima, sorted by position, 15 to 90 degrees two-theta:
| two_theta | I (rel.) |
| --- | --- |
| 18.74 | 32.7 |
| 26.41 | 29.9 |
| 32.58 | 100.0 |
| 37.70 | 33.7 |
| 38.00 | 16.5 |
| 42.41 | 18.7 |
| 46.87 | 13.7 |
| 54.60 | 22.8 |
| 64.84 | 27.1 |
| 65.25 | 13.3 |

Structural model:
```
4
Lattice="4.7726 0.0000 0.0000 0.0000 4.7726 0.0000 0.0000 0.0000 4.7355" Properties=species:S:1:pos:R:3 pbc="T T T"
Eu 0.0000 0.0000 0.0000
Sc 0.0000 2.3863 2.3677
Sc 2.3863 0.0000 2.3677
Bi 2.3863 2.3863 0.0000
```


4.
For RbNpCd2Cl8, a structure optimized by DFT (GGA-PBE) gives the simulated powder diffraction line list in this record (a wavelength of 1.5418 Å).
Kinematic intensities with the Lorentz-polarization factor, no thermal factor.

Largest 10 diffraction maxima, sorted by position, 15 to 90 degrees two-theta:
| two_theta | I (rel.) |
| --- | --- |
| 15.19 | 26.5 |
| 17.53 | 96.5 |
| 23.21 | 100.0 |
| 26.47 | 63.2 |
| 31.90 | 44.9 |
| 35.49 | 37.5 |
| 41.93 | 21.1 |
| 44.68 | 53.0 |
| 44.81 | 38.0 |
| 46.72 | 33.5 |

Structural model:
```
12
Lattice="6.7349 0.0000 0.0000 -3.3674 5.8326 0.0000 0.0000 0.0000 10.1637" Properties=species:S:1:pos:R:3 pbc="T T T"
Rb 0.0000 0.0000 0.0000
Np 0.0000 0.0000 5.0819
Cd 0.0000 3.8884 7.7254
Cd 3.3674 1.9442 2.4383
Cl -2.2294 4.0183 3.3712
Cl 1.0022 1.8927 3.3712
Cl 2.1403 0.0785 6.7925
Cl 0.0000 3.8884 10.1362
Cl 3.3674 1.9442 0.0275
Cl 1.2272 5.7541 3.3712
Cl 2.3653 3.9398 6.7925
Cl 5.5968 1.8143 6.7925
```